Re5Ni3: simulated powder diffraction line list (λ = 1.5418 Å (Cu Kα)), based on the GGA-PBE geometry in Alexandria.
Lines closer than 0.1° are merged.

a b c (Å): 4.7365 13.4574 7.1367
angles (deg): 90.00 109.34 90.00
Space group C2/m (No. 12)
Unique sites:
Re 0.1008 0.1725 0.2004 (multiplicity 8)
Re 0.1691 0.3998 0.3448 (multiplicity 8)
Re 0.2492 0.5000 0.9974 (multiplicity 4)
Ni 0.0000 0.2495 0.5000 (multiplicity 4)
Ni 0.0000 0.3293 0.0000 (multiplicity 4)
Ni 0.1666 0.0000 0.3415 (multiplicity 4)

Most intense lines, 2θ from 10° to 90°, sorted by position:
- 28.18 deg, rel. 23
- 37.80 deg, rel. 22
- 37.99 deg, rel. 24
- 39.06 deg, rel. 59
- 42.47 deg, rel. 56
- 42.64 deg, rel. 36
- 43.61 deg, rel. 100
- 46.91 deg, rel. 57
- 71.59 deg, rel. 20
- 72.53 deg, rel. 22